Entry 1:
For Tb10DySc4, a GGA-PBE-relaxed structure gives the simulated powder diffractogram in this record (Cu Ka).
No peak broadening, texture or thermal motion is included.

Top 10 peaks for 2θ = 5–70°, in order of falling intensity:
- (3 1 2), 33.44 deg, intensity 100
- (3 1 0), 26.72 deg, intensity 83
- (2 4 0), 38.15 deg, intensity 55
- (2 1 3), 35.47 deg, intensity 49
- (1 0 1), 12.93 deg, intensity 49
- (0 0 2), 19.74 deg, intensity 34
- (2 3 1), 32.17 deg, intensity 33
- (3 0 3), 39.49 deg, intensity 29
- (1 6 3), 61.80 deg, intensity 26
- (2 4 2), 43.31 deg, intensity 23

Atomic structure:
a b c (Å): 10.5500 10.5500 8.9966
angles (deg): 90.00 90.00 90.00
Space group I4/m (No. 87)
Inequivalent atoms, fractional coordinates:
Tb 0.0000 0.5000 0.2500 x4
Tb 0.1212 0.2129 0.1833 x16
Dy 0.0000 0.0000 0.0000 x2
Sc 0.0410 0.7682 0.5000 x8


Entry 2:
For YEr2ThBi5, a GGA-PBE-relaxed structure gives the simulated powder diffractogram in this record (Cu Ka).
No peak broadening, texture or thermal motion is included.

Top 10 peaks for 2θ = 5–70°, in order of falling intensity:
- (2 0 0), 31.26 deg, intensity 100
- (2 0 4), 43.84 deg, intensity 77
- (1 1 0), 21.96 deg, intensity 62
- (0 0 4), 29.96 deg, intensity 54
- (0 0 1), 7.41 deg, intensity 52
- (1 1 2), 26.62 deg, intensity 42
- (2 2 4), 54.83 deg, intensity 41
- (2 2 0), 44.79 deg, intensity 38
- (1 1 1), 23.21 deg, intensity 34
- (1 1 4), 37.46 deg, intensity 29

Atomic structure:
a b c (Å): 5.7230 5.7230 11.9304
angles (deg): 90.00 90.00 90.00
Space group P4/mmm (No. 123)
Inequivalent atoms, fractional coordinates:
Y 0.0000 0.0000 0.0000 x1
Er 0.5000 0.5000 0.2653 x2
Th 0.0000 0.0000 0.5000 x1
Bi 0.0000 0.0000 0.2415 x2
Bi 0.0000 0.5000 0.5000 x2
Bi 0.5000 0.5000 0.0000 x1